This entry pairs a crystal structure of Ba2NaAu2 with its computed powder XRD pattern. Radiation: Cu Kα. Structure: DFT lattice parameters and positions (PBE).

Crystal structure
```
data_Ba2NaAu2
_cell_length_a 8.781
_cell_length_b 8.781
_cell_length_c 4.488
_cell_angle_alpha 90.00
_cell_angle_beta 90.00
_cell_angle_gamma 90.00
_symmetry_space_group_name_H-M 'P 4/m b m'
_symmetry_Int_Tables_number 127
_symmetry_space_group_name_Hall '-P 4 2ab'
loop_
_atom_site_label
_atom_site_type_symbol
_atom_site_fract_x
_atom_site_fract_y
_atom_site_fract_z
_atom_site_occupancy
Ba1 Ba 0.168 0.332 0.000 1
Na1 Na 0.000 0.000 0.500 1
Au1 Au 0.126 0.626 0.500 1
```

Most intense lines, 10 to 90 degrees two-theta, sorted by position:
d/Å	two_theta	I (rel.)	(hkl)
6.209	14.27	347	1 1 0
2.955	30.24	1000	2 1 1
2.777	32.24	233	3 1 0
2.435	36.91	103	3 2 0
2.244	40.18	119	0 0 2
2.195	41.12	118	4 0 0
2.140	42.22	132	3 2 1
1.745	52.42	118	3 1 2
1.533	60.40	141	5 2 1
1.398	66.93	105	2 1 3

***

This entry pairs a crystal structure of Ba8Na2Au3 with its computed powder XRD pattern. Radiation: Cu Kα. Structure: DFT lattice parameters and positions (PBE).

Crystal structure
```
data_Ba8Na2Au3
_cell_length_a 10.653
_cell_length_b 5.830
_cell_length_c 10.700
_cell_angle_alpha 90.00
_cell_angle_beta 113.31
_cell_angle_gamma 90.00
_symmetry_space_group_name_H-M 'P 1 2/m 1'
_symmetry_Int_Tables_number 10
_symmetry_space_group_name_Hall '-P 2y'
loop_
_atom_site_label
_atom_site_type_symbol
_atom_site_fract_x
_atom_site_fract_y
_atom_site_fract_z
_atom_site_occupancy
Ba1 Ba 0.104 0.000 0.395 1
Ba2 Ba 0.141 0.500 0.850 1
Ba3 Ba 0.354 0.500 0.634 1
Ba4 Ba 0.390 0.000 0.109 1
Na1 Na 0.247 0.500 0.246 1
Au1 Au 0.000 0.500 0.500 1
Au2 Au 0.261 0.000 0.759 1
```

Most intense lines, 10 to 90 degrees two-theta, sorted by position:
d/Å	two_theta	I (rel.)	(hkl)
3.038	29.40	1000	1 1 -3
3.027	29.51	985	3 1 -1
2.934	30.46	510	2 0 2
2.915	30.67	512	0 2 0
2.771	32.31	188	1 2 -1
2.418	37.18	301	2 1 -4
2.410	37.31	315	4 1 -2
2.068	43.78	376	2 2 2
1.771	51.61	205	4 2 -4
1.705	53.78	373	1 3 -3

***

This entry pairs a crystal structure of Ba19Na4Au6 with its computed powder XRD pattern. Radiation: Cu Kα. Structure: DFT lattice parameters and positions (PBE).

Crystal structure
```
data_Ba19Na4Au6
_cell_length_a 14.475
_cell_length_b 14.475
_cell_length_c 14.475
_cell_angle_alpha 90.00
_cell_angle_beta 90.00
_cell_angle_gamma 90.00
_symmetry_space_group_name_H-M 'I 2 3'
_symmetry_Int_Tables_number 197
_symmetry_space_group_name_Hall 'I 2 2 3'
loop_
_atom_site_label
_atom_site_type_symbol
_atom_site_fract_x
_atom_site_fract_y
_atom_site_fract_z
_atom_site_occupancy
Ba1 Ba 0.000 0.000 0.000 1
Ba2 Ba 0.000 0.000 0.355 1
Ba3 Ba 0.056 0.302 0.285 1
Na1 Na 0.162 0.162 0.838 1
Au1 Au 0.000 0.322 0.500 1
```

Most intense lines, 10 to 90 degrees two-theta, sorted by position:
d/Å	two_theta	I (rel.)	(hkl)
4.577	19.39	515	3 0 1
3.869	22.99	635	3 2 1
3.619	24.60	442	4 0 0
3.412	26.12	1000	3 3 0
2.955	30.25	458	4 2 2
2.839	31.52	434	4 1 3
2.482	36.19	308	5 0 3
2.412	37.27	386	6 0 0
2.348	38.33	418	5 3 2
1.462	63.64	315	8 5 3

***

This entry pairs a crystal structure of Ba8Na3Au2 with its computed powder XRD pattern. Radiation: Cu Kα. Structure: DFT lattice parameters and positions (PBE).

Crystal structure
```
data_Ba8Na3Au2
_cell_length_a 20.192
_cell_length_b 8.692
_cell_length_c 7.745
_cell_angle_alpha 90.00
_cell_angle_beta 102.44
_cell_angle_gamma 90.00
_symmetry_space_group_name_H-M 'C 1 2/m 1'
_symmetry_Int_Tables_number 12
_symmetry_space_group_name_Hall '-C 2y'
loop_
_atom_site_label
_atom_site_type_symbol
_atom_site_fract_x
_atom_site_fract_y
_atom_site_fract_z
_atom_site_occupancy
Ba1 Ba 0.083 0.000 0.293 1
Ba2 Ba 0.152 0.247 0.865 1
Ba3 Ba 0.196 0.500 0.401 1
Na1 Na 0.000 0.330 0.500 1
Na2 Na 0.000 0.500 0.000 1
Au1 Au 0.229 0.000 0.171 1
```

Most intense lines, 10 to 90 degrees two-theta, sorted by position:
d/Å	two_theta	I (rel.)	(hkl)
5.735	15.45	441	1 1 -1
3.772	23.58	348	0 2 1
3.653	24.37	1000	2 2 -1
3.524	25.28	798	5 1 -1
3.400	26.21	454	2 2 1
3.304	26.99	915	2 0 2
3.260	27.36	426	4 2 0
2.850	31.39	503	4 2 1
2.621	34.21	419	6 2 0
2.148	42.07	505	4 2 -3

***

This entry pairs a crystal structure of BaNa4Au2 with its computed powder XRD pattern. Radiation: Cu Kα. Structure: DFT lattice parameters and positions (PBE).

Crystal structure
```
data_BaNa4Au2
_cell_length_a 4.643
_cell_length_b 19.958
_cell_length_c 4.627
_cell_angle_alpha 90.00
_cell_angle_beta 90.00
_cell_angle_gamma 90.00
_symmetry_space_group_name_H-M 'C m m m'
_symmetry_Int_Tables_number 65
_symmetry_space_group_name_Hall '-C 2 2'
loop_
_atom_site_label
_atom_site_type_symbol
_atom_site_fract_x
_atom_site_fract_y
_atom_site_fract_z
_atom_site_occupancy
Ba1 Ba 0.000 0.000 0.000 1
Na1 Na 0.000 0.173 0.500 1
Na2 Na 0.000 0.327 0.000 1
Au1 Au 0.000 0.429 0.500 1
```

Most intense lines, 10 to 90 degrees two-theta, sorted by position:
d/Å	two_theta	I (rel.)	(hkl)
4.627	19.18	205	0 0 1
4.522	19.63	282	1 1 0
3.234	27.58	1000	1 1 1
3.027	29.51	302	1 5 0
2.940	30.40	413	1 3 1
2.701	33.17	376	0 6 1
2.430	37.00	332	1 7 0
2.196	41.11	215	0 8 1
1.760	51.94	214	2 6 1
1.675	54.79	216	1 7 2

***

This entry pairs a crystal structure of BaNa2PdAu2 with its computed powder XRD pattern. Radiation: Cu Kα. Structure: DFT lattice parameters and positions (PBE).

Crystal structure
```
data_BaNa2PdAu2
_cell_length_a 5.495
_cell_length_b 5.495
_cell_length_c 12.184
_cell_angle_alpha 90.00
_cell_angle_beta 90.00
_cell_angle_gamma 90.00
_symmetry_space_group_name_H-M 'I 4/m m m'
_symmetry_Int_Tables_number 139
_symmetry_space_group_name_Hall '-I 4 2'
loop_
_atom_site_label
_atom_site_type_symbol
_atom_site_fract_x
_atom_site_fract_y
_atom_site_fract_z
_atom_site_occupancy
Ba1 Ba 0.000 0.000 0.000 1
Na1 Na 0.000 0.500 0.250 1
Pd1 Pd 0.000 0.000 0.500 1
Au1 Au 0.000 0.000 0.284 1
```

Most intense lines, 10 to 90 degrees two-theta, sorted by position:
d/Å	two_theta	I (rel.)	(hkl)
3.885	22.89	1000	1 1 0
3.267	27.30	268	1 0 3
3.046	29.32	241	0 0 4
2.747	32.59	566	2 0 0
2.397	37.52	339	1 1 4
2.040	44.40	310	2 0 4
1.943	46.76	207	2 2 0
1.738	52.68	216	3 1 0
1.638	56.15	154	2 2 4
1.509	61.43	163	3 1 4

***

This entry pairs a crystal structure of Ba4NaTl2Au with its computed powder XRD pattern. Radiation: Cu Kα. Structure: DFT lattice parameters and positions (PBE).

Crystal structure
```
data_Ba4NaTl2Au
_cell_length_a 6.0403
_cell_length_b 6.0403
_cell_length_c 29.7090
_cell_angle_alpha 90.00
_cell_angle_beta 90.00
_cell_angle_gamma 120.00
_symmetry_space_group_name_H-M 'R -3 m'
_symmetry_Int_Tables_number 166
_symmetry_space_group_name_Hall '-R 3 2"'
loop_
_atom_site_label
_atom_site_type_symbol
_atom_site_fract_x
_atom_site_fract_y
_atom_site_fract_z
_atom_site_occupancy
Ba1 Ba 0.0000 0.0000 0.1145 1
Ba2 Ba 0.0000 0.0000 0.3669 1
Na1 Na 0.0000 0.0000 0.5000 1
Tl1 Tl 0.0000 0.0000 0.2407 1
Au1 Au 0.0000 0.0000 0.0000 1
```

Most intense lines, 10 to 90 degrees two-theta, sorted by position:
d/Å	two_theta	I (rel.)	(hkl)
5.152	17.21	70	1 0 1
3.300	27.02	63	0 0 9
3.024	29.54	1000	1 1 0
2.228	40.48	111	1 1 9
2.138	42.26	172	2 0 8
1.745	52.45	294	3 0 0
1.657	55.45	72	0 1 17
1.510	61.40	69	2 2 0
1.351	69.57	80	3 1 8
1.142	84.95	105	4 1 0

***

This entry pairs a crystal structure of BaNa2ZrAu with its computed powder XRD pattern. Radiation: Cu Kα. Structure: DFT lattice parameters and positions (PBE).

Crystal structure
```
data_BaNa2ZrAu
_cell_length_a 5.828
_cell_length_b 5.828
_cell_length_c 5.677
_cell_angle_alpha 90.00
_cell_angle_beta 90.00
_cell_angle_gamma 90.00
_symmetry_space_group_name_H-M 'P 4/m m m'
_symmetry_Int_Tables_number 123
_symmetry_space_group_name_Hall '-P 4 2'
loop_
_atom_site_label
_atom_site_type_symbol
_atom_site_fract_x
_atom_site_fract_y
_atom_site_fract_z
_atom_site_occupancy
Ba1 Ba 0.000 0.000 0.000 1
Na1 Na 0.000 0.500 0.000 1
Zr1 Zr 0.500 0.500 0.500 1
Au1 Au 0.000 0.000 0.500 1
```

Most intense lines, 10 to 90 degrees two-theta, sorted by position:
d/Å	two_theta	I (rel.)	(hkl)
5.828	15.20	853	1 0 0
4.121	21.56	1000	1 1 0
3.335	26.73	372	1 1 1
2.914	30.68	670	2 0 0
2.838	31.52	312	0 0 2
2.338	38.51	455	1 1 2
2.060	43.94	248	2 2 0
2.033	44.56	477	2 0 2
1.667	55.08	253	2 2 2
1.546	59.84	254	3 1 2

***

This entry pairs a crystal structure of BaNdAu10 with its computed powder XRD pattern. Radiation: Cu Kα. Structure: DFT lattice parameters and positions (PBE).

Crystal structure
```
data_BaNdAu10
_cell_length_a 4.717
_cell_length_b 5.666
_cell_length_c 9.954
_cell_angle_alpha 90.00
_cell_angle_beta 90.00
_cell_angle_gamma 90.00
_symmetry_space_group_name_H-M 'P m m m'
_symmetry_Int_Tables_number 47
_symmetry_space_group_name_Hall '-P 2 2'
loop_
_atom_site_label
_atom_site_type_symbol
_atom_site_fract_x
_atom_site_fract_y
_atom_site_fract_z
_atom_site_occupancy
Ba1 Ba 0.000 0.000 0.000 1
Nd1 Nd 0.000 0.500 0.500 1
Au1 Au 0.000 0.000 0.343 1
Au2 Au 0.000 0.500 0.180 1
Au3 Au 0.500 0.000 0.500 1
Au4 Au 0.500 0.253 0.256 1
Au5 Au 0.500 0.500 0.000 1
```

Most intense lines, 10 to 90 degrees two-theta, sorted by position:
d/Å	two_theta	I (rel.)	(hkl)
4.924	18.01	338	0 1 1
2.462	36.50	269	0 2 2
2.448	36.72	1000	1 1 3
2.429	37.02	501	1 2 0
2.358	38.16	552	2 0 0
2.201	41.01	277	1 0 4
2.183	41.37	603	1 2 2
1.550	59.64	245	1 3 3
1.432	65.16	219	0 2 6
1.224	78.09	259	2 2 6

***

What did the third record say?
This entry pairs a crystal structure of Ba19Na4Au6 with its computed powder XRD pattern. Radiation: Cu Kα. Structure: DFT lattice parameters and positions (PBE).

Crystal structure
```
data_Ba19Na4Au6
_cell_length_a 14.475
_cell_length_b 14.475
_cell_length_c 14.475
_cell_angle_alpha 90.00
_cell_angle_beta 90.00
_cell_angle_gamma 90.00
_symmetry_space_group_name_H-M 'I 2 3'
_symmetry_Int_Tables_number 197
_symmetry_space_group_name_Hall 'I 2 2 3'
loop_
_atom_site_label
_atom_site_type_symbol
_atom_site_fract_x
_atom_site_fract_y
_atom_site_fract_z
_atom_site_occupancy
Ba1 Ba 0.000 0.000 0.000 1
Ba2 Ba 0.000 0.000 0.355 1
Ba3 Ba 0.056 0.302 0.285 1
Na1 Na 0.162 0.162 0.838 1
Au1 Au 0.000 0.322 0.500 1
```

Most intense lines, 10 to 90 degrees two-theta, sorted by position:
d/Å	two_theta	I (rel.)	(hkl)
4.577	19.39	515	3 0 1
3.869	22.99	635	3 2 1
3.619	24.60	442	4 0 0
3.412	26.12	1000	3 3 0
2.955	30.25	458	4 2 2
2.839	31.52	434	4 1 3
2.482	36.19	308	5 0 3
2.412	37.27	386	6 0 0
2.348	38.33	418	5 3 2
1.462	63.64	315	8 5 3

***

> Which formula does entry 9 have?

BaNdAu10